[1]
For PrSm3Te4, a structure optimized by DFT (PBE) gives the simulated powder XRD pattern in this record (Cu Kα (λ = 1.5418 Å)).

Principal peaks in the range 2θ from 10° to 90°, low angle first:
two_theta	I/Imax
28.3	100.0
39.9	13.1
40.4	50.9
40.9	12.3
49.6	14.0
50.4	13.4
58.5	12.8
65.5	6.0
66.2	23.4
66.8	5.7
72.8	8.8
74.1	8.4

```
data_PrSm3Te4
_chemical_formula_sum 'Pr2 Sm6 Te8'
_cell_length_a 9.0285
_cell_length_b 12.6349
_cell_length_c 4.4181
_cell_angle_alpha 90.00
_cell_angle_beta 90.00
_cell_angle_gamma 90.00
_space_group_name_H-M_alt 'C m m m'
_space_group_IT_number 65
_space_group_name_Hall '-C 2 2'
loop_
_atom_site_label
_atom_site_type_symbol
_atom_site_fract_x
_atom_site_fract_y
_atom_site_fract_z
_atom_site_occupancy
Pr1 Pr 0.0000 0.0000 0.0000 1
Sm1 Sm 0.0000 0.5000 0.0000 1
Sm2 Sm 0.2500 0.2500 0.5000 1
Te1 Te 0.0000 0.2523 0.0000 1
Te2 Te 0.2454 0.5000 0.5000 1
```


[2]
For Nd5Ga2Cu2, a structure optimized by DFT (PBE) gives the simulated powder XRD pattern in this record (Cu Kα (λ = 1.5418 Å)).

Principal peaks in the range 2θ from 10° to 90°, low angle first:
two_theta	I/Imax
27.1	49.5
29.8	100.0
31.0	77.3
32.8	71.7
33.8	42.2
34.1	32.9
34.6	69.9
35.5	96.5
39.7	42.4
45.0	29.6
48.0	30.0
53.2	25.1

```
data_Nd5Ga2Cu2
_chemical_formula_sum 'Nd20 Ga8 Cu8'
_cell_length_a 15.7632
_cell_length_b 7.1535
_cell_length_c 8.4680
_cell_angle_alpha 90.00
_cell_angle_beta 90.00
_cell_angle_gamma 90.00
_space_group_name_H-M_alt 'C m c e'
_space_group_IT_number 64
_space_group_name_Hall '-C 2ac 2'
loop_
_atom_site_label
_atom_site_type_symbol
_atom_site_fract_x
_atom_site_fract_y
_atom_site_fract_z
_atom_site_occupancy
Nd1 Nd 0.0000 0.0000 0.0000 1
Nd2 Nd 0.1385 0.1612 0.3230 1
Ga1 Ga 0.2048 0.0000 0.0000 1
Cu1 Cu 0.0000 0.1150 0.6133 1
```


[3]
For PaPIr3, a structure optimized by DFT (PBE) gives the simulated powder XRD pattern in this record (Cu Kα (λ = 1.5418 Å)).

Principal peaks in the range 2θ from 10° to 90°, low angle first:
two_theta	I/Imax
33.8	36.0
36.0	100.0
45.4	34.5
47.0	7.9
48.5	14.6
57.8	23.4
61.8	7.9
66.2	11.4
68.6	10.5
76.4	8.6
77.7	22.4
83.6	5.4

```
data_PaPIr3
_chemical_formula_sum 'Pa2 P2 Ir6'
_cell_length_a 3.9928
_cell_length_b 3.9928
_cell_length_c 10.6267
_cell_angle_alpha 90.00
_cell_angle_beta 90.00
_cell_angle_gamma 90.00
_space_group_name_H-M_alt 'I 4 m m'
_space_group_IT_number 107
_space_group_name_Hall 'I 4 -2'
loop_
_atom_site_label
_atom_site_type_symbol
_atom_site_fract_x
_atom_site_fract_y
_atom_site_fract_z
_atom_site_occupancy
Pa1 Pa 0.0000 0.0000 0.0000 1
P1 P 0.0000 0.0000 0.3673 1
Ir1 Ir 0.0000 0.0000 0.5789 1
Ir2 Ir 0.0000 0.5000 0.2536 1
```


[4]
For PmHo7Th3, a structure optimized by DFT (PBE) gives the simulated powder XRD pattern in this record (Cu Kα (λ = 1.5418 Å)).

Principal peaks in the range 2θ from 10° to 90°, low angle first:
two_theta	I/Imax
27.7	21.7
31.1	33.1
31.8	39.2
31.9	91.7
32.0	97.5
32.1	51.1
32.3	100.0
32.9	85.6
33.5	57.3
34.0	41.9
47.3	20.5
48.0	26.6

```
data_PmHo7Th3
_chemical_formula_sum 'Pm1 Ho7 Th3'
_cell_length_a 6.4299
_cell_length_b 6.6770
_cell_length_c 8.6334
_cell_angle_alpha 101.22
_cell_angle_beta 97.12
_cell_angle_gamma 96.59
_space_group_name_H-M_alt 'P -1'
_space_group_IT_number 2
loop_
_space_group_symop_operation_xyz
'x,y,z'
'-x,-y,-z'
loop_
_atom_site_label
_atom_site_type_symbol
_atom_site_fract_x
_atom_site_fract_y
_atom_site_fract_z
_atom_site_occupancy
Pm1 Pm 0.0000 0.0000 0.0000 1
Ho1 Ho 0.0000 0.5000 0.0000 1
Ho2 Ho 0.0703 0.2154 0.6431 1
Ho3 Ho 0.2086 0.7315 0.7054 1
Ho4 Ho 0.4921 0.2324 0.9241 1
Th1 Th 0.3228 0.4479 0.3370 1
Th2 Th 0.5000 0.0000 0.5000 1
```